Record 1
This entry pairs a crystal structure of Dy8GaTe4P3 with its calculated XRD peak list. Radiation: a wavelength of 1.5418 Å. Structure: a DFT-relaxed cell (PBE, Alexandria).

Crystal structure
a = 8.520 Å, b = 8.520 Å, c = 8.520 Å
α = 58.36°, β = 58.36°, γ = 58.36°
Fractional coordinates of all 16 atoms:
Dy: 0.237 0.237 0.237
Dy: 0.237 0.740 0.740
Dy: 0.260 0.260 0.763
Dy: 0.260 0.763 0.260
Dy: 0.740 0.237 0.740
Dy: 0.740 0.740 0.237
Dy: 0.763 0.260 0.260
Dy: 0.763 0.763 0.763
Ga: 0.500 0.500 0.500
Te: 0.000 0.000 0.000
Te: 0.000 0.500 0.500
Te: 0.500 0.000 0.500
Te: 0.500 0.500 0.000
P: 0.000 0.000 0.500
P: 0.000 0.500 0.000
P: 0.500 0.000 0.000

Top 6 peaks for 2θ = 10–90°, in order of rising 2θ:
d/Å	intensity
3.406	14
2.973	100
2.129	33
2.077	38
1.703	19
1.317	16

=====

Record 2
This entry pairs a crystal structure of B with its calculated XRD peak list. Radiation: a wavelength of 1.5418 Å. Structure: a DFT-relaxed cell (PBE, Alexandria).

Crystal structure
a = 5.050 Å, b = 5.050 Å, c = 5.050 Å
α = 58.04°, β = 58.04°, γ = 58.04°
Fractional coordinates of all 12 atoms:
B: 0.010 0.010 0.654
B: 0.010 0.654 0.010
B: 0.221 0.221 0.630
B: 0.221 0.630 0.221
B: 0.346 0.990 0.990
B: 0.370 0.779 0.779
B: 0.630 0.221 0.221
B: 0.654 0.010 0.010
B: 0.779 0.370 0.779
B: 0.779 0.779 0.370
B: 0.990 0.346 0.990
B: 0.990 0.990 0.346

Top 6 peaks for 2θ = 10–90°, in order of rising 2θ:
d/Å	intensity
4.184	54
4.020	100
2.523	71
2.092	60
1.428	28
1.340	29